[1]
Structure and calculated PXRD pattern of Th2B12Ir3Os (a crystal structure in Alexandria, relaxed with GGA-PBE; Cu Kα (λ = 1.5418 Å)).

Cell lengths 5.8422, 5.8422, 22.2931 Å; angles 90.00, 90.00, 120.00 degrees
Space group R-3m (No. 166, hexagonal axes)
Inequivalent atoms, fractional coordinates:
Th1 0.0000 0.0000 0.1337 [6 per cell]
B1 0.0398 0.5199 0.1002 [18 per cell]
B2 0.1009 0.2017 0.7417 [18 per cell]
Ir1 0.0000 0.5000 0.0000 [9 per cell]
Os1 0.0000 0.0000 0.5000 [3 per cell]

The 12 most intense peaks (2θ = 5–70°), in order of rising 2θ:
| two_theta | d [Å] | I (rel.) |
| --- | --- | --- |
| 23.75 | 3.746 | 32 |
| 23.95 | 3.716 | 44 |
| 26.65 | 3.345 | 55 |
| 30.61 | 2.921 | 21 |
| 32.95 | 2.719 | 100 |
| 35.72 | 2.514 | 36 |
| 36.42 | 2.467 | 37 |
| 45.81 | 1.981 | 24 |
| 48.61 | 1.873 | 44 |
| 55.91 | 1.645 | 23 |
| 63.72 | 1.461 | 22 |
| 69.08 | 1.360 | 22 |

=====

[2]
Structure and calculated PXRD pattern of PaB3Ir6 (a crystal structure in Alexandria, relaxed with GGA-PBE; Cu Kα (λ = 1.5418 Å)).

Cell lengths 5.4453, 5.4453, 16.1525 Å; angles 90.00, 90.00, 120.00 degrees
Space group R3 (No. 146, hexagonal axes)
Inequivalent atoms, fractional coordinates:
Pa1 0.0000 0.0000 0.0000 [3 per cell]
B1 0.0000 0.0000 0.1641 [3 per cell]
B2 0.0000 0.0000 0.3602 [3 per cell]
B3 0.0000 0.0000 0.6943 [3 per cell]
Ir1 0.0027 0.4226 0.1159 [9 per cell]
Ir2 0.1632 0.3340 0.2646 [9 per cell]

The 12 most intense peaks (2θ = 5–70°), in order of rising 2θ:
| two_theta | d [Å] | I (rel.) |
| --- | --- | --- |
| 29.11 | 3.067 | 32 |
| 32.90 | 2.723 | 22 |
| 33.28 | 2.692 | 39 |
| 33.63 | 2.665 | 34 |
| 37.00 | 2.430 | 42 |
| 38.59 | 2.333 | 100 |
| 39.83 | 2.263 | 34 |
| 44.50 | 2.036 | 18 |
| 47.50 | 1.914 | 48 |
| 47.75 | 1.905 | 33 |
| 59.21 | 1.561 | 15 |
| 68.99 | 1.361 | 16 |

=====

[3]
Structure and calculated PXRD pattern of Pa2B7Ir12 (a crystal structure in Alexandria, relaxed with GGA-PBE; Cu Kα (λ = 1.5418 Å)).

Cell lengths 9.0299, 9.0299, 3.8772 Å; angles 90.00, 90.00, 120.00 degrees
Space group P3 (No. 143)
Inequivalent atoms, fractional coordinates:
Pa1 0.0000 0.0000 0.0000 [1 per cell]
Pa2 0.3333 0.6667 0.4985 [1 per cell]
B1 0.0862 0.4439 0.9965 [3 per cell]
B2 0.2686 0.2158 0.5026 [3 per cell]
B3 0.6667 0.3333 0.0806 [1 per cell]
Ir1 0.0578 0.2734 0.4997 [3 per cell]
Ir2 0.1038 0.6957 0.9994 [3 per cell]
Ir3 0.4010 0.1690 0.9996 [3 per cell]
Ir4 0.5306 0.4205 0.4989 [3 per cell]

The 12 most intense peaks (2θ = 5–70°), in order of rising 2θ:
| two_theta | d [Å] | I (rel.) |
| --- | --- | --- |
| 30.24 | 2.956 | 27 |
| 30.39 | 2.941 | 7 |
| 38.29 | 2.351 | 100 |
| 41.64 | 2.169 | 5 |
| 41.75 | 2.163 | 5 |
| 46.45 | 1.955 | 6 |
| 46.86 | 1.939 | 16 |
| 48.07 | 1.893 | 6 |
| 50.90 | 1.794 | 7 |
| 53.71 | 1.706 | 15 |
| 56.79 | 1.621 | 10 |
| 67.87 | 1.381 | 10 |

=====

[4]
Structure and calculated PXRD pattern of Y2BIrPb (a crystal structure in Alexandria, relaxed with GGA-PBE; Cu Kα (λ = 1.5418 Å)).

Cell lengths 5.1431, 5.1431, 4.0779 Å; angles 90.00, 90.00, 90.00 degrees
Space group P4/mmm (No. 123)
Inequivalent atoms, fractional coordinates:
Y1 0.0000 0.5000 0.0000 [2 per cell]
B1 0.0000 0.0000 0.0000 [1 per cell]
Ir1 0.0000 0.0000 0.5000 [1 per cell]
Pb1 0.5000 0.5000 0.5000 [1 per cell]

The 12 most intense peaks (2θ = 5–70°), in order of rising 2θ:
| two_theta | d [Å] | I (rel.) |
| --- | --- | --- |
| 21.79 | 4.078 | 8 |
| 24.48 | 3.637 | 16 |
| 33.00 | 2.714 | 100 |
| 34.89 | 2.572 | 46 |
| 41.52 | 2.175 | 7 |
| 44.43 | 2.039 | 12 |
| 50.17 | 1.818 | 16 |
| 51.38 | 1.779 | 5 |
| 56.59 | 1.626 | 3 |
| 57.70 | 1.598 | 21 |
| 61.37 | 1.511 | 34 |
| 69.23 | 1.357 | 12 |

=====

[5]
Structure and calculated PXRD pattern of PmB6Ir5 (a crystal structure in Alexandria, relaxed with GGA-PBE; Cu Kα (λ = 1.5418 Å)).

Cell lengths 5.3258, 5.4462, 5.9101 Å; angles 80.71, 63.28, 69.11 degrees
Space group P-1 (No. 2)
Inequivalent atoms, fractional coordinates:
Pm1 0.0000 0.0000 0.0000 [1 per cell]
B1 0.1028 0.3756 0.6072 [2 per cell]
B2 0.2903 0.6247 0.6069 [2 per cell]
B3 0.4375 0.1840 0.9997 [2 per cell]
Ir1 0.0000 0.5000 0.0000 [1 per cell]
Ir2 0.3039 0.0007 0.3899 [2 per cell]
Ir3 0.3734 0.5003 0.2524 [2 per cell]

The 12 most intense peaks (2θ = 5–70°), in order of rising 2θ:
| two_theta | d [Å] | I (rel.) |
| --- | --- | --- |
| 24.29 | 3.664 | 21 |
| 31.13 | 2.873 | 100 |
| 35.28 | 2.544 | 52 |
| 36.10 | 2.488 | 53 |
| 38.42 | 2.343 | 12 |
| 40.69 | 2.217 | 35 |
| 42.32 | 2.135 | 50 |
| 47.70 | 1.907 | 18 |
| 52.70 | 1.737 | 27 |
| 52.78 | 1.734 | 13 |
| 60.66 | 1.527 | 20 |
| 61.84 | 1.500 | 16 |

=====

[6]
Structure and calculated PXRD pattern of PmBIr4 (a crystal structure in Alexandria, relaxed with GGA-PBE; Cu Kα (λ = 1.5418 Å)).

Cell lengths 5.0410, 5.0410, 8.6703 Å; angles 90.00, 90.00, 90.00 degrees
Space group P4_2/nmc (No. 137, origin choice 2)
Inequivalent atoms, fractional coordinates:
Pm1 0.2500 0.7500 0.2500 [2 per cell]
B1 0.2500 0.7500 0.7500 [2 per cell]
Ir1 0.0044 0.2500 0.0561 [8 per cell]

The 12 most intense peaks (2θ = 5–70°), in order of rising 2θ:
| two_theta | d [Å] | I (rel.) |
| --- | --- | --- |
| 20.49 | 4.335 | 39 |
| 27.13 | 3.287 | 29 |
| 35.81 | 2.507 | 46 |
| 37.15 | 2.420 | 100 |
| 41.39 | 2.181 | 26 |
| 45.34 | 2.000 | 13 |
| 45.55 | 1.991 | 17 |
| 47.89 | 1.900 | 13 |
| 51.26 | 1.782 | 15 |
| 55.77 | 1.648 | 33 |
| 59.13 | 1.562 | 14 |
| 68.23 | 1.374 | 19 |

=====

[7]
Structure and calculated PXRD pattern of Pm2B7Ir12 (a crystal structure in Alexandria, relaxed with GGA-PBE; Cu Kα (λ = 1.5418 Å)).

Cell lengths 8.9817, 8.9817, 3.9636 Å; angles 90.00, 90.00, 120.00 degrees
Space group P-6 (No. 174)
Inequivalent atoms, fractional coordinates:
Pm1 0.0000 0.0000 0.0000 [1 per cell]
Pm2 0.3333 0.6667 0.5000 [1 per cell]
B1 0.0639 0.6170 0.0000 [3 per cell]
B2 0.2321 0.0086 0.5000 [3 per cell]
B3 0.6667 0.3333 0.5000 [1 per cell]
Ir1 0.0191 0.7551 0.5000 [3 per cell]
Ir2 0.1137 0.3838 0.0000 [3 per cell]
Ir3 0.4561 0.2560 0.0000 [3 per cell]
Ir4 0.4942 0.0697 0.5000 [3 per cell]

The 12 most intense peaks (2θ = 5–70°), in order of rising 2θ:
| two_theta | d [Å] | I (rel.) |
| --- | --- | --- |
| 11.38 | 7.778 | 7 |
| 30.07 | 2.972 | 10 |
| 30.40 | 2.940 | 27 |
| 38.11 | 2.361 | 100 |
| 41.62 | 2.170 | 8 |
| 41.87 | 2.157 | 7 |
| 45.78 | 1.982 | 18 |
| 48.01 | 1.895 | 11 |
| 51.19 | 1.784 | 8 |
| 54.02 | 1.697 | 16 |
| 55.95 | 1.643 | 10 |
| 68.02 | 1.378 | 9 |

=====

[8]
Structure and calculated PXRD pattern of Pm2BIr (a crystal structure in Alexandria, relaxed with GGA-PBE; Cu Kα (λ = 1.5418 Å)).

Cell lengths 9.2173, 5.5897, 6.9714 Å; angles 90.00, 112.22, 90.00 degrees
Space group P2_1/c (No. 14)
Inequivalent atoms, fractional coordinates:
Pm1 0.1526 0.2500 0.0766 [4 per cell]
Pm2 0.2739 0.7216 0.3867 [4 per cell]
B1 0.3993 0.2449 0.9501 [4 per cell]
Ir1 0.4998 0.0008 0.2754 [4 per cell]

The 12 most intense peaks (2θ = 5–70°), in order of rising 2θ:
| two_theta | d [Å] | I (rel.) |
| --- | --- | --- |
| 10.37 | 8.533 | 88 |
| 26.28 | 3.391 | 36 |
| 31.45 | 2.844 | 26 |
| 32.03 | 2.795 | 100 |
| 33.19 | 2.699 | 47 |
| 33.75 | 2.656 | 38 |
| 38.51 | 2.338 | 59 |
| 40.95 | 2.204 | 55 |
| 42.80 | 2.113 | 55 |
| 52.51 | 1.743 | 18 |
| 60.74 | 1.525 | 37 |
| 66.97 | 1.397 | 28 |

=====

[9]
Structure and calculated PXRD pattern of Pm2B4Ir3 (a crystal structure in Alexandria, relaxed with GGA-PBE; Cu Kα (λ = 1.5418 Å)).

Cell lengths 5.5714, 9.4924, 9.8267 Å; angles 90.00, 90.00, 90.00 degrees
Space group Fmmm (No. 69)
Inequivalent atoms, fractional coordinates:
Pm1 0.0000 0.0000 0.1545 [8 per cell]
B1 0.0000 0.2170 0.3339 [16 per cell]
Ir1 0.0000 0.0000 0.5000 [4 per cell]
Ir2 0.2500 0.2500 0.0000 [8 per cell]

The 12 most intense peaks (2θ = 5–70°), in order of rising 2θ:
| two_theta | d [Å] | I (rel.) |
| --- | --- | --- |
| 18.05 | 4.913 | 85 |
| 26.10 | 3.414 | 29 |
| 33.10 | 2.706 | 88 |
| 37.43 | 2.402 | 100 |
| 37.91 | 2.373 | 54 |
| 41.86 | 2.158 | 48 |
| 42.29 | 2.137 | 21 |
| 42.93 | 2.107 | 48 |
| 57.90 | 1.593 | 18 |
| 68.17 | 1.376 | 18 |
| 69.46 | 1.353 | 31 |
| 69.77 | 1.348 | 17 |

=====

[10]
Structure and calculated PXRD pattern of Pm3B2IrRh9 (a crystal structure in Alexandria, relaxed with GGA-PBE; Cu Kα (λ = 1.5418 Å)).

Cell lengths 5.8888, 5.8888, 8.5084 Å; angles 90.00, 90.00, 120.00 degrees
Space group P-3m1 (No. 164)
Inequivalent atoms, fractional coordinates:
Pm1 0.0000 0.0000 0.0000 [1 per cell]
Pm2 0.3333 0.6667 0.6389 [2 per cell]
B1 0.3333 0.6667 0.1408 [2 per cell]
Ir1 0.0000 0.0000 0.5000 [1 per cell]
Rh1 0.0000 0.5000 0.0000 [3 per cell]
Rh2 0.1688 0.3376 0.2845 [6 per cell]

The 12 most intense peaks (2θ = 5–70°), in order of rising 2θ:
| two_theta | d [Å] | I (rel.) |
| --- | --- | --- |
| 17.39 | 5.100 | 11 |
| 27.30 | 3.267 | 16 |
| 30.36 | 2.944 | 11 |
| 31.55 | 2.836 | 24 |
| 32.17 | 2.783 | 13 |
| 36.24 | 2.479 | 14 |
| 36.80 | 2.443 | 83 |
| 37.13 | 2.421 | 15 |
| 41.28 | 2.187 | 100 |
| 46.24 | 1.963 | 12 |
| 56.32 | 1.633 | 21 |
| 63.15 | 1.472 | 31 |

=====

[11]
Structure and calculated PXRD pattern of Pr2B4Ir3 (a crystal structure in Alexandria, relaxed with GGA-PBE; Cu Kα (λ = 1.5418 Å)).

Cell lengths 5.5924, 9.6248, 9.8531 Å; angles 90.00, 90.00, 90.00 degrees
Space group Fmmm (No. 69)
Inequivalent atoms, fractional coordinates:
Pr1 0.0000 0.0000 0.1557 [8 per cell]
B1 0.0000 0.2187 0.3344 [16 per cell]
Ir1 0.0000 0.0000 0.5000 [4 per cell]
Ir2 0.2500 0.2500 0.0000 [8 per cell]

The 12 most intense peaks (2θ = 5–70°), in order of rising 2θ:
| two_theta | d [Å] | I (rel.) |
| --- | --- | --- |
| 18.01 | 4.927 | 86 |
| 25.88 | 3.443 | 30 |
| 32.97 | 2.717 | 87 |
| 37.19 | 2.418 | 100 |
| 37.37 | 2.406 | 56 |
| 41.61 | 2.170 | 49 |
| 41.78 | 2.162 | 22 |
| 42.58 | 2.123 | 47 |
| 57.66 | 1.599 | 18 |
| 67.29 | 1.391 | 19 |
| 69.15 | 1.358 | 31 |
| 69.27 | 1.356 | 17 |

=====

[12]
Structure and calculated PXRD pattern of PuBIr (a crystal structure in Alexandria, relaxed with GGA-PBE; Cu Kα (λ = 1.5418 Å)).

Cell lengths 3.7196, 3.7196, 4.1914 Å; angles 90.00, 90.00, 120.00 degrees
Space group P-6m2 (No. 187)
Inequivalent atoms, fractional coordinates:
Pu1 0.0000 0.0000 0.0000 [1 per cell]
B1 0.6667 0.3333 0.5000 [1 per cell]
Ir1 0.3333 0.6667 0.5000 [1 per cell]

The 8 most intense peaks (2θ = 5–70°), in order of rising 2θ:
| two_theta | d [Å] | I (rel.) |
| --- | --- | --- |
| 27.69 | 3.221 | 29 |
| 35.14 | 2.554 | 100 |
| 43.17 | 2.096 | 13 |
| 48.98 | 1.860 | 27 |
| 52.06 | 1.757 | 11 |
| 57.19 | 1.611 | 4 |
| 61.70 | 1.503 | 20 |
| 67.31 | 1.391 | 21 |

=====

[13]
Structure and calculated PXRD pattern of B3Ir3Rh (a crystal structure in Alexandria, relaxed with GGA-PBE; Cu Kα (λ = 1.5418 Å)).

Cell lengths 6.2729, 2.8140, 9.6387 Å; angles 90.00, 108.83, 90.00 degrees
Space group P2_1/m (No. 11)
Inequivalent atoms, fractional coordinates:
B1 0.1392 0.2500 0.1645 [2 per cell]
B2 0.2540 0.2500 0.7186 [2 per cell]
B3 0.3198 0.7500 0.3491 [2 per cell]
Ir1 0.1475 0.2500 0.9020 [2 per cell]
Ir2 0.3761 0.7500 0.5904 [2 per cell]
Ir3 0.3891 0.7500 0.1443 [2 per cell]
Rh1 0.0540 0.2500 0.3607 [2 per cell]

The 12 most intense peaks (2θ = 5–70°), in order of rising 2θ:
| two_theta | d [Å] | I (rel.) |
| --- | --- | --- |
| 30.16 | 2.964 | 85 |
| 37.32 | 2.409 | 17 |
| 37.55 | 2.395 | 100 |
| 38.03 | 2.366 | 11 |
| 39.51 | 2.281 | 33 |
| 41.29 | 2.186 | 30 |
| 44.36 | 2.042 | 70 |
| 47.15 | 1.928 | 11 |
| 53.14 | 1.723 | 33 |
| 66.45 | 1.407 | 12 |
| 67.15 | 1.394 | 15 |
| 68.50 | 1.370 | 14 |